Entry 1:
Si23Mo: simulated powder diffractogram (Cu Kα, 1.54184 Å), based on DFT lattice parameters and positions (GGA-PBE).

Main lines, most intense first (2θ from 5° to 70°):
2θ (°)  Rel. int.
32.84  100
12.26  78
55.50  41
19.45  40
37.38  25
53.90  19
52.27  14
36.29  14
40.50  13
53.09  11

Atomic structure:
Cell: 10.2058 10.2058 10.2058 Å, 90.00 90.00 90.00°
Sites, in units of the cell vectors:
1 Si 0.0000 0.1164 0.3079
2 Si 0.0000 0.1164 0.6921
3 Si 0.0000 0.2500 0.5000
4 Si 0.0000 0.7500 0.5000
5 Si 0.0000 0.8836 0.3079
6 Si 0.0000 0.8836 0.6921
7 Si 0.1164 0.3079 0.0000
8 Si 0.1164 0.6921 0.0000
9 Si 0.1822 0.1822 0.1822
10 Si 0.1822 0.1822 0.8178
11 Si 0.1822 0.8178 0.1822
12 Si 0.1822 0.8178 0.8178
13 Si 0.1921 0.3836 0.5000
14 Si 0.1921 0.6164 0.5000
15 Si 0.2500 0.5000 0.0000
16 Si 0.3079 0.0000 0.1164
17 Si 0.3079 0.0000 0.8836
18 Si 0.3178 0.3178 0.3178
19 Si 0.3178 0.3178 0.6822
20 Si 0.3178 0.6822 0.3178
21 Si 0.3178 0.6822 0.6822
22 Si 0.3836 0.5000 0.1921
23 Si 0.3836 0.5000 0.8079
24 Si 0.5000 0.0000 0.2500
25 Si 0.5000 0.0000 0.7500
26 Si 0.5000 0.1921 0.3836
27 Si 0.5000 0.1921 0.6164
28 Si 0.5000 0.8079 0.3836
29 Si 0.5000 0.8079 0.6164
30 Si 0.6164 0.5000 0.1921
31 Si 0.6164 0.5000 0.8079
32 Si 0.6822 0.3178 0.3178
33 Si 0.6822 0.3178 0.6822
34 Si 0.6822 0.6822 0.3178
35 Si 0.6822 0.6822 0.6822
36 Si 0.6921 0.0000 0.1164
37 Si 0.6921 0.0000 0.8836
38 Si 0.7500 0.5000 0.0000
39 Si 0.8079 0.3836 0.5000
40 Si 0.8079 0.6164 0.5000
41 Si 0.8178 0.1822 0.1822
42 Si 0.8178 0.1822 0.8178
43 Si 0.8178 0.8178 0.1822
44 Si 0.8178 0.8178 0.8178
45 Si 0.8836 0.3079 0.0000
46 Si 0.8836 0.6921 0.0000
47 Mo 0.0000 0.0000 0.0000
48 Mo 0.5000 0.5000 0.5000


Entry 2:
SiMo2: simulated powder diffractogram (Cu Kα, 1.54184 Å), based on DFT lattice parameters and positions (GGA-PBE).

Main lines, most intense first (2θ from 5° to 70°):
2θ (°)  Rel. int.
38.33  100
39.74  48
41.28  40
45.33  28
25.71  20
62.97  14
57.72  12
55.18  10
49.27  8
69.18  8

Atomic structure:
Cell: 6.9297 6.9297 3.1942 Å, 90.00 90.00 120.00°
Sites, in units of the cell vectors:
1 Si 0.0000 0.0000 0.0000
2 Si 0.3333 0.6667 0.5000
3 Si 0.6667 0.3333 0.5000
4 Mo 0.0000 0.2658 0.5000
5 Mo 0.0000 0.6031 0.0000
6 Mo 0.2658 0.0000 0.5000
7 Mo 0.3969 0.3969 0.0000
8 Mo 0.6031 0.0000 0.0000
9 Mo 0.7342 0.7342 0.5000


Entry 3:
SrSiMo2: simulated powder diffractogram (Cu Kα, 1.54184 Å), based on DFT lattice parameters and positions (GGA-PBE).

Main lines, most intense first (2θ from 5° to 70°):
2θ (°)  Rel. int.
36.49  100
38.72  59
11.91  40
68.64  30
56.94  21
55.92  19
23.95  18
29.71  17
45.87  13
46.05  12

Atomic structure:
Cell: 3.2885 3.2885 7.4300 Å, 90.00 90.00 90.00°
Sites, in units of the cell vectors:
1 Sr 0.0000 0.0000 0.0000
2 Si 0.5000 0.5000 0.6927
3 Mo 0.0000 0.0000 0.5113
4 Mo 0.5000 0.5000 0.3365


Entry 4:
TbSi2Mo4: simulated powder diffractogram (Cu Kα, 1.54184 Å), based on DFT lattice parameters and positions (GGA-PBE).

Main lines, most intense first (2θ from 5° to 70°):
2θ (°)  Rel. int.
35.51  100
40.87  26
41.34  25
59.53  17
13.56  17
45.37  16
57.63  14
34.29  11
28.79  10
21.24  10

Atomic structure:
Cell: 6.8941 6.8941 4.3681 Å, 90.00 90.00 142.64°
Sites, in units of the cell vectors:
1 Tb 0.0000 0.0000 0.0000
2 Si 0.4058 0.5942 0.5000
3 Si 0.5942 0.4058 0.5000
4 Mo 0.1920 0.8080 0.5000
5 Mo 0.3043 0.6957 0.0000
6 Mo 0.6957 0.3043 0.0000
7 Mo 0.8080 0.1920 0.5000


Entry 5:
Ti3Si3Mo2: simulated powder diffractogram (Cu Kα, 1.54184 Å), based on DFT lattice parameters and positions (GGA-PBE).

Main lines, most intense first (2θ from 5° to 70°):
2θ (°)  Rel. int.
41.18  100
41.67  94
43.51  91
30.08  72
41.49  65
42.26  62
43.33  57
38.36  54
35.58  50
37.27  39

Atomic structure:
Cell: 5.0465 7.3502 7.3502 Å, 119.20 90.00 90.00°
Sites, in units of the cell vectors:
1 Ti 0.0000 0.1151 0.8849
2 Ti 0.0000 0.8849 0.1151
3 Ti 0.2499 0.2198 0.5527
4 Ti 0.2499 0.5527 0.2198
5 Ti 0.7501 0.2198 0.5527
6 Ti 0.7501 0.5527 0.2198
7 Si 0.0000 0.2820 0.2820
8 Si 0.0000 0.4874 0.8847
9 Si 0.0000 0.8847 0.4874
10 Si 0.5000 0.2738 0.8858
11 Si 0.5000 0.4989 0.4989
12 Si 0.5000 0.8858 0.2738
13 Mo 0.0000 0.6335 0.6335
14 Mo 0.5000 0.1511 0.1511
15 Mo 0.5000 0.6262 0.8869
16 Mo 0.5000 0.8869 0.6262


Entry 6:
Ti2Si6Mo: simulated powder diffractogram (Cu Kα, 1.54184 Å), based on DFT lattice parameters and positions (GGA-PBE).

Main lines, most intense first (2θ from 5° to 70°):
2θ (°)  Rel. int.
40.77  100
47.66  62
25.78  39
41.54  35
35.25  17
38.25  17
21.81  12
13.58  10
57.73  10
44.46  7

Atomic structure:
Cell: 4.7064 4.7064 6.5221 Å, 90.00 90.00 120.02°
Sites, in units of the cell vectors:
1 Ti 0.0000 0.5000 0.1661
2 Ti 0.5000 0.0000 0.8339
3 Si 0.1824 0.3429 0.8330
4 Si 0.3338 0.6662 0.5000
5 Si 0.3429 0.1824 0.1670
6 Si 0.6571 0.8176 0.1670
7 Si 0.6662 0.3338 0.5000
8 Si 0.8176 0.6571 0.8330
9 Mo 0.0000 0.0000 0.5000


Entry 7:
TiSi4Mo: simulated powder diffractogram (Cu Kα, 1.54184 Å), based on DFT lattice parameters and positions (GGA-PBE).

Main lines, most intense first (2θ from 5° to 70°):
2θ (°)  Rel. int.
39.55  100
43.77  74
44.19  72
22.14  26
29.58  26
30.16  24
14.66  23
56.48  17
57.85  16
45.79  15

Atomic structure:
Cell: 4.6153 4.6153 6.5175 Å, 110.63 110.63 40.40°
Sites, in units of the cell vectors:
1 Ti 0.0000 0.0000 0.0000
2 Si 0.3334 0.3334 0.1715
3 Si 0.3340 0.3340 0.6646
4 Si 0.6660 0.6660 0.3354
5 Si 0.6666 0.6666 0.8285
6 Mo 0.0000 0.0000 0.5000


Entry 8:
Tl3SiMo: simulated powder diffractogram (Cu Kα, 1.54184 Å), based on DFT lattice parameters and positions (GGA-PBE).

Main lines, most intense first (2θ from 5° to 70°):
2θ (°)  Rel. int.
28.57  100
33.11  97
16.38  72
47.53  71
56.39  47
37.15  39
59.14  25
50.61  20
69.48  12
61.82  9

Atomic structure:
Cell: 5.4112 5.4112 5.4112 Å, 90.00 90.00 90.00°
Sites, in units of the cell vectors:
1 Tl 0.0000 0.0000 0.5000
2 Tl 0.0000 0.5000 0.0000
3 Tl 0.5000 0.0000 0.0000
4 Si 0.5000 0.5000 0.5000
5 Mo 0.0000 0.0000 0.0000


Entry 9:
U4Si6Mo7: simulated powder diffractogram (Cu Kα, 1.54184 Å), based on DFT lattice parameters and positions (GGA-PBE).

Main lines, most intense first (2θ from 5° to 70°):
2θ (°)  Rel. int.
37.34  100
30.30  67
43.38  62
63.03  39
21.30  36
53.83  25
48.82  22
40.45  16
26.16  14
67.34  12

Atomic structure:
Cell: 7.2252 7.2252 7.2252 Å, 109.47 109.47 109.47°
Sites, in units of the cell vectors:
1 U 0.0000 0.0000 0.5000
2 U 0.0000 0.5000 0.0000
3 U 0.5000 0.0000 0.0000
4 U 0.5000 0.5000 0.5000
5 Si 0.0000 0.3062 0.3062
6 Si 0.0000 0.6938 0.6938
7 Si 0.3062 0.0000 0.3062
8 Si 0.3062 0.3062 0.0000
9 Si 0.6938 0.0000 0.6938
10 Si 0.6938 0.6938 0.0000
11 Mo 0.0000 0.0000 0.0000
12 Mo 0.2500 0.5000 0.7500
13 Mo 0.2500 0.7500 0.5000
14 Mo 0.5000 0.2500 0.7500
15 Mo 0.5000 0.7500 0.2500
16 Mo 0.7500 0.2500 0.5000
17 Mo 0.7500 0.5000 0.2500


Entry 10:
SiMoW2: simulated powder diffractogram (Cu Kα, 1.54184 Å), based on DFT lattice parameters and positions (GGA-PBE).

Main lines, most intense first (2θ from 5° to 70°):
2θ (°)  Rel. int.
40.70  100
22.97  27
41.48  24
41.79  23
60.35  16
29.69  14
57.47  9
37.32  8
52.10  6
41.98  6

Atomic structure:
Cell: 5.1182 5.1182 5.1182 Å, 143.48 130.04 63.45°
Sites, in units of the cell vectors:
1 Si 0.0000 0.0000 0.0000
2 Mo 0.2499 0.7499 0.5000
3 W 0.5000 0.5000 0.0000
4 W 0.7495 0.2495 0.5000


Entry 11:
Si6Mo2W: simulated powder diffractogram (Cu Kα, 1.54184 Å), based on DFT lattice parameters and positions (GGA-PBE).

Main lines, most intense first (2θ from 5° to 70°):
2θ (°)  Rel. int.
26.05  100
41.46  96
48.07  62
35.20  46
40.87  36
22.25  25
45.41  23
69.93  20
62.73  17
63.16  17

Atomic structure:
Cell: 4.6119 4.6119 6.6237 Å, 90.00 90.00 119.96°
Sites, in units of the cell vectors:
1 Si 0.1629 0.3270 0.6661
2 Si 0.1646 0.8354 0.0000
3 Si 0.3270 0.1629 0.3339
4 Si 0.6730 0.8371 0.3339
5 Si 0.8354 0.1646 0.0000
6 Si 0.8371 0.6730 0.6661
7 Mo 0.0000 0.5000 0.3335
8 Mo 0.5000 0.0000 0.6665
9 W 0.5000 0.5000 0.0000


Entry 12:
Si3Mo3W2: simulated powder diffractogram (Cu Kα, 1.54184 Å), based on DFT lattice parameters and positions (GGA-PBE).

Main lines, most intense first (2θ from 5° to 70°):
2θ (°)  Rel. int.
42.61  100
38.14  79
27.38  56
45.28  49
41.70  46
41.04  31
36.39  31
69.76  23
29.17  23
18.32  23

Atomic structure:
Cell: 7.2808 7.2808 7.2808 Å, 96.71 96.49 140.36°
Sites, in units of the cell vectors:
1 Si 0.1683 0.6658 0.8342
2 Si 0.2500 0.2500 0.0000
3 Si 0.3317 0.1658 0.4975
4 Si 0.6683 0.8342 0.5025
5 Si 0.7500 0.7500 0.0000
6 Si 0.8317 0.3342 0.1658
7 Mo 0.2235 0.9221 0.1457
8 Mo 0.2500 0.7500 0.5000
9 Mo 0.2765 0.4221 0.6986
10 Mo 0.7235 0.5779 0.3014
11 Mo 0.7500 0.2500 0.5000
12 Mo 0.7765 0.0779 0.8543
13 W 0.0753 0.2242 0.2995
14 W 0.4247 0.7242 0.1489
15 W 0.5753 0.2758 0.8511
16 W 0.9247 0.7758 0.7005


Entry 13:
SiMoW2: simulated powder diffractogram (Cu Kα, 1.54184 Å), based on DFT lattice parameters and positions (GGA-PBE).

Main lines, most intense first (2θ from 5° to 70°):
2θ (°)  Rel. int.
39.87  100
20.08  32
48.95  28
40.82  23
65.58  23
34.07  18
53.43  10
54.19  10
25.98  6
38.98  2

Atomic structure:
Cell: 5.1449 5.1449 5.1449 Å, 137.60 137.60 61.52°
Sites, in units of the cell vectors:
1 Si 0.0000 0.0000 0.0000
2 Mo 0.5000 0.5000 0.0000
3 W 0.2500 0.7500 0.5000
4 W 0.7500 0.2500 0.5000